The following is a calculated PXRD pattern of Co3BPO7. It was derived from a DFT-relaxed cell (GGA+U, OQMD), using Cu Kα.
Kinematic intensities with the Lorentz-polarization factor, no thermal factor.

Cell and atoms:
```
data_Co3BPO7
_cell_length_a 7.963
_cell_length_b 7.963
_cell_length_c 4.881
_cell_angle_alpha 107.62
_cell_angle_beta 107.62
_cell_angle_gamma 104.46
_space_group_name_H-M_alt 'P 1'
_space_group_IT_number 1
_space_group_name_Hall 'P 1'
loop_
_atom_site_label
_atom_site_type_symbol
_atom_site_fract_x
_atom_site_fract_y
_atom_site_fract_z
Co1 Co 0.111 0.889 0.000
Co2 Co 0.368 0.655 0.061
Co3 Co 0.435 0.942 0.694
Co4 Co 0.655 0.368 0.061
Co5 Co 0.889 0.111 0.000
Co6 Co 0.942 0.435 0.694
B1 B 0.073 0.638 0.356
B2 B 0.638 0.073 0.356
P1 P 0.187 0.187 0.690
P2 P 0.651 0.651 0.724
O1 O 0.036 0.036 0.721
O2 O 0.109 0.665 0.665
O3 O 0.145 0.145 0.340
O4 O 0.183 0.384 0.855
O5 O 0.196 0.768 0.298
O6 O 0.384 0.183 0.855
O7 O 0.483 0.925 0.109
O8 O 0.501 0.702 0.517
O9 O 0.566 0.566 0.923
O10 O 0.665 0.109 0.665
O11 O 0.702 0.501 0.517
O12 O 0.768 0.196 0.298
O13 O 0.832 0.832 0.947
O14 O 0.925 0.483 0.109
```

Principal peaks in the range 10° ≤ 2θ ≤ 90°, sorted by position:
2θ = 14.1°, I = 13
2θ = 20.9°, I = 60
2θ = 21.1°, I = 38
2θ = 35.5°, I = 100
2θ = 36.6°, I = 18
2θ = 36.8°, I = 48
2θ = 45.1°, I = 8
2θ = 52.0°, I = 31
2θ = 52.2°, I = 13
2θ = 65.2°, I = 14
2θ = 65.5°, I = 15
2θ = 71.3°, I = 10